PrSeS: computed XRD peak list (Cu Kα (weighted mean of Kα1 and Kα2)), based on a cell relaxed with GGA-PBE.
Lines closer than 0.1° are merged.

Largest 10 diffraction maxima, by angle, 10° ≤ 2θ ≤ 90°:
d/Å, I/Imax, hkl
3.968, 47, 1 0 1
3.314, 54, 1 0 3
2.842, 40, 0 0 6
2.733, 65, 1 1 2
2.389, 100, 1 1 4
2.092, 35, 1 0 7
2.040, 47, 2 0 0
1.657, 31, 2 0 6
1.460, 22, 2 1 7
1.235, 24, 3 1 4

Structure:
```
data_PrSeS
_chemical_formula_sum 'Pr4 Se4 S4'
_symmetry_space_group_name_H-M 'I 4/m m m'
_symmetry_Int_Tables_number 139
_symmetry_space_group_name_Hall '-I 4 2'
_cell_length_a 4.080
_cell_length_b 4.080
_cell_length_c 17.052
_cell_angle_alpha 90.00
_cell_angle_beta 90.00
_cell_angle_gamma 90.00
loop_
_atom_site_label
_atom_site_type_symbol
_atom_site_fract_x
_atom_site_fract_y
_atom_site_fract_z
_atom_site_occupancy
Pr1 Pr 0.000 0.000 0.145 1
Se1 Se 0.000 0.500 0.000 1
S1 S 0.000 0.000 0.316 1
```


Na2U2O7: computed XRD peak list (Cu Kα (weighted mean of Kα1 and Kα2)), based on a cell relaxed with GGA-PBE.
Lines closer than 0.1° are merged.

Largest 10 diffraction maxima, by angle, 10° ≤ 2θ ≤ 90°:
d/Å, I/Imax, hkl
6.136, 100, 1 0 0
3.409, 23, 1 0 -2
3.384, 50, 0 2 1
3.232, 86, 1 2 -1
3.068, 27, 2 0 0
2.775, 13, 2 0 -2
2.755, 27, 1 2 1
2.518, 18, 2 2 -1
1.997, 18, 1 2 -3
1.915, 22, 3 2 -1

Structure:
```
data_Na2U2O7
_chemical_formula_sum 'Na4 U4 O14'
_symmetry_space_group_name_H-M 'P 1 21 1'
_symmetry_Int_Tables_number 4
_cell_length_a 6.567
_cell_length_b 7.938
_cell_length_c 6.932
_cell_angle_alpha 90.00
_cell_angle_beta 110.86
_cell_angle_gamma 90.00
loop_
_symmetry_equiv_pos_as_xyz
'x,y,z'
'-x,y+1/2,-z'
loop_
_atom_site_label
_atom_site_type_symbol
_atom_site_fract_x
_atom_site_fract_y
_atom_site_fract_z
_atom_site_occupancy
Na1 Na 0.001 0.000 0.494 1
Na2 Na 0.005 0.255 0.991 1
U1 U 0.497 0.255 0.469 1
U2 U 0.499 0.003 0.981 1
O1 O 0.191 0.999 0.878 1
O2 O 0.192 0.253 0.366 1
O3 O 0.193 0.515 0.918 1
O4 O 0.195 0.746 0.428 1
O5 O 0.482 0.245 0.132 1
O6 O 0.488 0.024 0.652 1
O7 O 0.494 0.405 0.726 1
```


BaTi4O7: computed XRD peak list (Cu Kα (weighted mean of Kα1 and Kα2)), based on a cell relaxed with GGA-PBE.
Lines closer than 0.1° are merged.

Largest 10 diffraction maxima, by angle, 10° ≤ 2θ ≤ 90°:
d/Å, I/Imax, hkl
5.264, 37, 0 0 2
5.010, 56, 1 0 1
3.866, 18, 1 0 2
3.289, 22, 1 1 0
2.988, 53, 1 0 3
2.789, 53, 1 1 2
2.749, 100, 2 0 1
2.505, 17, 2 0 2
1.666, 17, 2 1 4
1.644, 26, 2 2 0

Structure:
```
data_BaTi4O7
_chemical_formula_sum 'Ba2 Ti8 O14'
_symmetry_space_group_name_H-M 'P 63 m c'
_symmetry_Int_Tables_number 186
_symmetry_space_group_name_Hall 'P 6c -2c'
_cell_length_a 6.5778
_cell_length_b 6.5778
_cell_length_c 10.5277
_cell_angle_alpha 90.00
_cell_angle_beta 90.00
_cell_angle_gamma 120.00
loop_
_atom_site_label
_atom_site_type_symbol
_atom_site_fract_x
_atom_site_fract_y
_atom_site_fract_z
_atom_site_occupancy
Ba1 Ba 0.3333 0.6667 0.0000 1
Ti1 Ti 0.0000 0.0000 0.4062 1
Ti2 Ti 0.1879 0.3758 0.6557 1
O1 O 0.0000 0.0000 0.2216 1
O2 O 0.0183 0.5092 0.1869 1
O3 O 0.1462 0.2924 0.4826 1
```


Nd4TeIr2: computed XRD peak list (Cu Kα (weighted mean of Kα1 and Kα2)), based on a cell relaxed with GGA-PBE.
Lines closer than 0.1° are merged.

Largest 10 diffraction maxima, by angle, 10° ≤ 2θ ≤ 90°:
d/Å, I/Imax, hkl
6.861, 24, 0 0 6
3.118, 100, 1 0 7
2.399, 18, 1 0 13
2.296, 26, 0 1 14
2.123, 40, 1 1 0
1.796, 12, 0 1 20
1.755, 19, 0 2 7
1.559, 8, 2 0 14
1.353, 16, 2 1 7
1.257, 8, 1 2 14

Structure:
```
data_Nd4TeIr2
_chemical_formula_sum 'Nd12 Te3 Ir6'
_symmetry_space_group_name_H-M 'R -3 m'
_symmetry_Int_Tables_number 166
_symmetry_space_group_name_Hall '-R 3 2"'
_cell_length_a 4.2460
_cell_length_b 4.2460
_cell_length_c 41.1648
_cell_angle_alpha 90.00
_cell_angle_beta 90.00
_cell_angle_gamma 120.00
loop_
_atom_site_label
_atom_site_type_symbol
_atom_site_fract_x
_atom_site_fract_y
_atom_site_fract_z
_atom_site_occupancy
Nd1 Nd 0.0000 0.0000 0.1262 1
Nd2 Nd 0.0000 0.0000 0.2806 1
Te1 Te 0.0000 0.0000 0.0000 1
Ir1 Ir 0.0000 0.0000 0.4253 1
```


Pm2AlPd5: computed XRD peak list (Cu Kα (weighted mean of Kα1 and Kα2)), based on a cell relaxed with GGA-PBE.
Lines closer than 0.1° are merged.

Largest 10 diffraction maxima, by angle, 10° ≤ 2θ ≤ 90°:
d/Å, I/Imax, hkl
4.956, 11, 1 0 1
2.994, 13, 1 1 2
2.478, 100, 2 0 2
2.207, 38, 2 2 0
2.038, 16, 0 0 4
1.561, 12, 4 0 0
1.497, 21, 2 2 4
1.321, 22, 4 2 2
1.246, 12, 2 0 6
1.239, 10, 4 0 4

Structure:
```
data_Pm2AlPd5
_chemical_formula_sum 'Pm4 Al2 Pd10'
_symmetry_space_group_name_H-M 'I 4 m m'
_symmetry_Int_Tables_number 107
_symmetry_space_group_name_Hall 'I 4 -2'
_cell_length_a 6.243
_cell_length_b 6.243
_cell_length_c 8.151
_cell_angle_alpha 90.00
_cell_angle_beta 90.00
_cell_angle_gamma 90.00
loop_
_atom_site_label
_atom_site_type_symbol
_atom_site_fract_x
_atom_site_fract_y
_atom_site_fract_z
_atom_site_occupancy
Pm1 Pm 0.000 0.500 0.000 1
Al1 Al 0.000 0.000 0.196 1
Pd1 Pd 0.000 0.000 0.505 1
Pd2 Pd 0.226 0.226 0.755 1
```


K2U2AgTe6: computed XRD peak list (Cu Kα (weighted mean of Kα1 and Kα2)), based on a cell relaxed with GGA-PBE.
Lines closer than 0.1° are merged.

Largest 10 diffraction maxima, by angle, 10° ≤ 2θ ≤ 90°:
d/Å, I/Imax, hkl
8.404, 100, 0 0 1
3.262, 86, 1 3 1
3.234, 43, 2 0 -2
2.621, 25, 1 3 2
2.420, 31, 1 3 -3
2.197, 16, 0 6 0
2.190, 31, 3 3 -1
2.125, 16, 3 3 0
1.958, 15, 1 3 -4
1.818, 24, 2 6 -2

Structure:
```
data_K2U2AgTe6
_chemical_formula_sum 'K4 U4 Ag2 Te12'
_symmetry_space_group_name_H-M 'C 1 2/m 1'
_symmetry_Int_Tables_number 12
_cell_length_a 7.581
_cell_length_b 13.180
_cell_length_c 8.752
_cell_angle_alpha 90.00
_cell_angle_beta 106.21
_cell_angle_gamma 90.00
loop_
_symmetry_equiv_pos_as_xyz
'x,y,z'
'-x,-y,-z'
'-x,y,-z'
'x,-y,z'
'x+1/2,y+1/2,z'
'-x+1/2,-y+1/2,-z'
'-x+1/2,y+1/2,-z'
'x+1/2,-y+1/2,z'
loop_
_atom_site_label
_atom_site_type_symbol
_atom_site_fract_x
_atom_site_fract_y
_atom_site_fract_z
_atom_site_occupancy
K1 K 0.000 0.163 0.000 1
U1 U 0.000 0.333 0.500 1
Ag1 Ag 0.000 0.000 0.500 1
Te1 Te 0.219 0.500 0.706 1
Te2 Te 0.237 0.170 0.704 1
```